# Zr2Cu
Computed powder diffraction line list, Cu Ka. Input: a GGA-PBE-relaxed structure.

Main lines, most intense first (10 to 90 degrees two-theta):
2theta	intensity	h k l
38.0	100	3 3 3
35.7	37	4 2 2
64.2	35	6 6 0
41.5	24	4 4 0
31.7	20	3 3 1
77.1	18	9 3 3
65.7	10	5 5 5
44.1	7	4 4 2
61.7	6	7 3 3
49.1	5	6 2 2

a b c (Å): 12.3091 12.3091 12.3091
angles (deg): 90.00 90.00 90.00
Space group Fd-3m (No. 227, origin choice 2)
One atom of each set of equivalent atoms:
Zr1 0.0000 0.0000 0.0000 [16 per cell]
Zr2 0.0601 0.3750 0.8750 [48 per cell]
Cu1 0.0412 0.0412 0.2088 [32 per cell]


# Zr2Cu
Computed powder diffraction line list, Cu Ka. Input: a GGA-PBE-relaxed structure.

Main lines, most intense first (10 to 90 degrees two-theta):
2theta	intensity	h k l
35.6	100	1 1 -2
40.8	78	0 0 3
37.1	61	3 1 -1
34.3	40	1 1 1
38.0	35	4 0 -3
33.6	31	4 0 -2
40.4	27	4 0 0
55.7	26	0 2 0
67.1	24	7 1 -3
29.7	22	2 0 1

```
data_Zr2Cu
_chemical_formula_sum 'Zr8 Cu4'
_space_group_name_H-M_alt 'C 1 2/m 1'
_space_group_IT_number 12
_cell_length_a 10.7718
_cell_length_b 3.3010
_cell_length_c 8.0007
_cell_angle_alpha 90.00
_cell_angle_beta 124.06
_cell_angle_gamma 90.00
loop_
_space_group_symop_operation_xyz
'x,y,z'
'-x,-y,-z'
'-x,y,-z'
'x,-y,z'
'x+1/2,y+1/2,z'
'-x+1/2,-y+1/2,-z'
'-x+1/2,y+1/2,-z'
'x+1/2,-y+1/2,z'
loop_
_atom_site_label
_atom_site_fract_x
_atom_site_fract_y
_atom_site_fract_z
Zr1 0.0796 0.0000 0.3434
Zr2 0.1585 0.5000 0.0596
Cu1 0.1303 0.5000 0.6549
```


# Zr2Cu
Computed powder diffraction line list, Cu Ka. Input: a GGA-PBE-relaxed structure.

Main lines, most intense first (10 to 90 degrees two-theta):
2theta	intensity	h k l
36.7	100	1 0 3
39.4	43	1 1 0
69.8	28	2 1 3
64.4	16	1 1 6
57.0	14	2 0 0
48.7	10	0 0 6
78.2	9	2 0 6
83.0	6	1 0 9
84.9	4	2 2 0
28.7	4	1 0 1

```
data_Zr2Cu
_chemical_formula_sum 'Zr4 Cu2'
_space_group_name_H-M_alt 'I 4/m m m'
_space_group_IT_number 139
_space_group_name_Hall '-I 4 2'
_cell_length_a 3.2320
_cell_length_b 3.2320
_cell_length_c 11.2235
_cell_angle_alpha 90.00
_cell_angle_beta 90.00
_cell_angle_gamma 90.00
loop_
_atom_site_label
_atom_site_fract_x
_atom_site_fract_y
_atom_site_fract_z
Zr1 0.0000 0.0000 0.1543
Cu1 0.0000 0.0000 0.5000
```


# ZrCu2
Computed powder diffraction line list, Cu Ka. Input: a GGA-PBE-relaxed structure.

Main lines, most intense first (10 to 90 degrees two-theta):
2theta	intensity	h k l
41.9	100	3 1 1
38.8	34	0 0 2
38.4	31	0 2 0
72.4	20	3 1 3
55.7	20	0 2 2
71.8	14	3 3 1
29.0	7	1 1 1
78.8	6	6 0 2
78.5	6	6 2 0
65.5	6	6 0 0

```
data_ZrCu2
_chemical_formula_sum 'Zr4 Cu8'
_space_group_name_H-M_alt 'C m c m'
_space_group_IT_number 63
_space_group_name_Hall '-C 2c 2'
_cell_length_a 8.5524
_cell_length_b 4.6903
_cell_length_c 4.6384
_cell_angle_alpha 90.00
_cell_angle_beta 90.00
_cell_angle_gamma 90.00
loop_
_atom_site_label
_atom_site_fract_x
_atom_site_fract_y
_atom_site_fract_z
Zr1 0.0000 0.2342 0.2500
Cu1 0.1809 0.2829 0.7500
```